1.
Computed powder XRD pattern
Compound: Nd2Ho2Tm
Radiation: a wavelength of 1.5418 Å
Structure: DFT lattice parameters and positions (PBE)

Largest 10 diffraction maxima, in order of rising 2θ, 2θ from 5° to 70°:
2θ 28.22, d 3.162, intensity 16; 2θ 29.85, d 2.993, intensity 24; 2θ 31.28, d 2.860, intensity 100; 2θ 31.55, d 2.836, intensity 15; 2θ 33.78, d 2.653, intensity 20; 2θ 34.93, d 2.569, intensity 13; 2θ 45.06, d 2.012, intensity 11; 2θ 50.11, d 1.821, intensity 17; 2θ 55.70, d 1.650, intensity 22; 2θ 60.29, d 1.535, intensity 11

a b c (Å): 3.642 5.709 31.639
angles (deg): 90.00 90.00 90.00
Space group Imma (No. 74)
One atom of each set of equivalent atoms:
Nd (0.000, 0.250, 0.022) (multiplicity 4)
Nd (0.000, 0.250, 0.122) (multiplicity 4)
Ho (0.000, 0.250, 0.291) (multiplicity 4)
Ho (0.000, 0.250, 0.804) (multiplicity 4)
Tm (0.000, 0.250, 0.581) (multiplicity 4)

2.
Computed powder XRD pattern
Compound: Pm4Cu2Au
Radiation: a wavelength of 1.5418 Å
Structure: DFT lattice parameters and positions (PBE)

Largest 10 diffraction maxima, in order of rising 2θ, 2θ from 5° to 70°:
2θ 10.72, d 8.253, intensity 9; 2θ 20.55, d 4.322, intensity 8; 2θ 24.87, d 3.581, intensity 9; 2θ 27.15, d 3.285, intensity 7; 2θ 32.51, d 2.754, intensity 5; 2θ 35.45, d 2.532, intensity 100; 2θ 37.11, d 2.423, intensity 3; 2θ 51.01, d 1.790, intensity 18; 2θ 63.62, d 1.463, intensity 27; 2θ 63.78, d 1.459, intensity 8

a b c (Å): 5.0688 5.0688 24.7578
angles (deg): 90.00 90.00 120.00
Space group R-3m (No. 166, hexagonal axes)
One atom of each set of equivalent atoms:
Pm (0.0000, 0.0000, 0.1216) (multiplicity 6)
Pm (0.0000, 0.0000, 0.3725) (multiplicity 6)
Cu (0.0000, 0.0000, 0.2523) (multiplicity 6)
Au (0.0000, 0.0000, 0.5000) (multiplicity 3)

3.
Computed powder XRD pattern
Compound: AcLa5Pm2Tm
Radiation: a wavelength of 1.5418 Å
Structure: DFT lattice parameters and positions (PBE)

Largest 10 diffraction maxima, in order of rising 2θ, 2θ from 5° to 70°:
2θ 27.05, d 3.297, intensity 53; 2θ 27.61, d 3.231, intensity 44; 2θ 30.18, d 2.961, intensity 100; 2θ 30.31, d 2.949, intensity 18; 2θ 35.19, d 2.550, intensity 19; 2θ 36.36, d 2.471, intensity 14; 2θ 40.29, d 2.238, intensity 18; 2θ 49.78, d 1.832, intensity 22; 2θ 55.45, d 1.657, intensity 14; 2θ 55.72, d 1.650, intensity 17

a b c (Å): 9.325 9.325 15.334
angles (deg): 90.00 90.00 90.00
Space group I4/mcm (No. 140)
One atom of each set of equivalent atoms:
Ac (0.000, 0.000, 0.250) (multiplicity 4)
La (0.000, 0.000, 0.000) (multiplicity 4)
La (0.203, 0.297, 0.133) (multiplicity 16)
Pm (0.113, 0.387, 0.500) (multiplicity 8)
Tm (0.000, 0.500, 0.250) (multiplicity 4)

4.
Computed powder XRD pattern
Compound: Cu2IO8
Radiation: a wavelength of 1.5418 Å
Structure: DFT lattice parameters and positions (PBE)

Largest 10 diffraction maxima, in order of rising 2θ, 2θ from 5° to 70°:
2θ 15.81, d 5.604, intensity 100; 2θ 18.91, d 4.693, intensity 17; 2θ 20.09, d 4.420, intensity 37; 2θ 24.31, d 3.662, intensity 61; 2θ 27.27, d 3.271, intensity 36; 2θ 33.74, d 2.657, intensity 50; 2θ 34.64, d 2.589, intensity 31; 2θ 35.70, d 2.515, intensity 24; 2θ 38.16, d 2.358, intensity 18; 2θ 39.26, d 2.295, intensity 16

a b c (Å): 5.736 5.031 9.607
angles (deg): 90.00 102.33 90.00
Space group P2_1 (No. 4)
One atom of each set of equivalent atoms:
Cu (0.154, 0.000, 0.108) (multiplicity 2)
Cu (0.184, 0.457, 0.601) (multiplicity 2)
I (0.118, 0.975, 0.763) (multiplicity 2)
O (0.012, 0.633, 0.428) (multiplicity 2)
O (0.080, 0.157, 0.274) (multiplicity 2)
O (0.154, 0.648, 0.185) (multiplicity 2)
O (0.206, 0.323, 0.041) (multiplicity 2)
O (0.267, 0.867, 0.951) (multiplicity 2)
O (0.311, 0.282, 0.778) (multiplicity 2)
O (0.341, 0.780, 0.687) (multiplicity 2)
O (0.456, 0.375, 0.521) (multiplicity 2)

5.
Computed powder XRD pattern
Compound: Tb15Er2Th2
Radiation: a wavelength of 1.5418 Å
Structure: DFT lattice parameters and positions (PBE)

Largest 10 diffraction maxima, in order of rising 2θ, 2θ from 5° to 70°:
2θ 27.26, d 3.272, intensity 25; 2θ 27.93, d 3.195, intensity 37; 2θ 31.17, d 2.869, intensity 72; 2θ 31.77, d 2.817, intensity 100; 2θ 32.36, d 2.767, intensity 61; 2θ 34.12, d 2.628, intensity 35; 2θ 35.77, d 2.510, intensity 56; 2θ 51.89, d 1.762, intensity 20; 2θ 56.97, d 1.616, intensity 23; 2θ 57.71, d 1.597, intensity 27

a b c (Å): 11.0667 11.0667 17.9137
angles (deg): 90.00 90.00 120.00
Space group R-3m (No. 166, hexagonal axes)
One atom of each set of equivalent atoms:
Tb (0.0000, 0.3002, 0.0000) (multiplicity 18)
Tb (0.0000, 0.5000, 0.5000) (multiplicity 9)
Tb (0.0147, 0.5073, 0.1344) (multiplicity 18)
Er (0.0000, 0.0000, 0.3144) (multiplicity 6)
Th (0.0000, 0.0000, 0.0872) (multiplicity 6)

6.
Computed powder XRD pattern
Compound: Nd6SmHg2
Radiation: a wavelength of 1.5418 Å
Structure: DFT lattice parameters and positions (PBE)

Largest 10 diffraction maxima, in order of rising 2θ, 2θ from 5° to 70°:
2θ 30.12, d 2.967, intensity 5; 2θ 30.75, d 2.907, intensity 29; 2θ 30.88, d 2.895, intensity 21; 2θ 32.03, d 2.794, intensity 100; 2θ 32.36, d 2.766, intensity 6; 2θ 44.15, d 2.051, intensity 15; 2θ 47.67, d 1.908, intensity 10; 2θ 55.51, d 1.656, intensity 15; 2θ 55.66, d 1.651, intensity 9; 2θ 57.84, d 1.594, intensity 18

a b c (Å): 12.999 3.816 12.296
angles (deg): 90.00 108.61 90.00
Space group C2/m (No. 12)
One atom of each set of equivalent atoms:
Nd (0.021, 0.000, 0.338) (multiplicity 4)
Nd (0.186, 0.500, 0.876) (multiplicity 4)
Nd (0.190, 0.500, 0.590) (multiplicity 4)
Sm (0.000, 0.000, 0.000) (multiplicity 2)
Hg (0.141, 0.500, 0.199) (multiplicity 4)

7.
Computed powder XRD pattern
Compound: Nd2Dy4HoTm2
Radiation: a wavelength of 1.5418 Å
Structure: DFT lattice parameters and positions (PBE)

Largest 10 diffraction maxima, in order of rising 2θ, 2θ from 5° to 70°:
2θ 29.85, d 2.993, intensity 44; 2θ 31.47, d 2.843, intensity 62; 2θ 31.85, d 2.809, intensity 53; 2θ 31.89, d 2.806, intensity 53; 2θ 32.42, d 2.762, intensity 100; 2θ 43.09, d 2.099, intensity 16; 2θ 48.20, d 1.888, intensity 18; 2θ 55.94, d 1.644, intensity 21; 2θ 56.98, d 1.616, intensity 19; 2θ 57.73, d 1.597, intensity 16

a b c (Å): 5.990 6.608 8.572
angles (deg): 79.85 70.33 65.01
Space group P-1 (No. 2)
One atom of each set of equivalent atoms:
Nd (0.232, 0.324, 0.342) (multiplicity 2)
Dy (0.116, 0.127, 0.763) (multiplicity 2)
Dy (0.241, 0.574, 0.884) (multiplicity 2)
Ho (0.500, 0.000, 0.000) (multiplicity 1)
Tm (0.321, 0.770, 0.445) (multiplicity 2)